1.
This entry pairs a crystal structure of ScNi6B2 with its computed PXRD pattern. Radiation: λ = 1.5418 Å (Cu Kα). Structure: DFT lattice parameters and positions (PBE).

Atomic structure:
a b c (Å): 9.6690 9.6690 9.6690
angles (deg): 90.00 90.00 90.00
Space group Fd-3m (No. 227, origin choice 2)
Inequivalent atoms, fractional coordinates:
Sc  0.1250  0.1250  0.1250
Ni  0.0911  0.3750  0.8750
B  0.0000  0.0000  0.5000

Top 8 peaks for 2θ = 10–80°, sorted by position:
26.07 deg, d 3.419, rel. 14
30.67 deg, d 2.915, rel. 15
37.20 deg, d 2.417, rel. 100
40.67 deg, d 2.218, rel. 28
45.98 deg, d 1.974, rel. 18
48.95 deg, d 1.861, rel. 25
53.62 deg, d 1.709, rel. 60
75.53 deg, d 1.259, rel. 18


2.
This entry pairs a crystal structure of LaTb2Au4 with its computed PXRD pattern. Radiation: λ = 1.5418 Å (Cu Kα). Structure: DFT lattice parameters and positions (PBE).

Atomic structure:
```
data_LaTb2Au4
_space_group_name_H-M_alt 'P 4/m m m'
_space_group_IT_number 123
_space_group_name_Hall '-P 4 2'
_cell_length_a 5.1356
_cell_length_b 5.1356
_cell_length_c 6.9512
_cell_angle_alpha 90.00
_cell_angle_beta 90.00
_cell_angle_gamma 90.00
loop_
_atom_site_label
_atom_site_fract_x
_atom_site_fract_y
_atom_site_fract_z
La1 0.0000 0.0000 0.0000
Tb1 0.0000 0.0000 0.5000
Tb2 0.5000 0.5000 0.0000
Au1 0.0000 0.5000 0.2596
```

Top 8 peaks for 2θ = 10–80°, sorted by position:
24.51 deg, d 3.631, rel. 10
34.94 deg, d 2.568, rel. 54
35.76 deg, d 2.511, rel. 100
50.25 deg, d 1.816, rel. 19
52.67 deg, d 1.738, rel. 8
63.20 deg, d 1.471, rel. 39
64.78 deg, d 1.439, rel. 18
75.77 deg, d 1.255, rel. 11


3.
This entry pairs a crystal structure of K2ReH6 with its computed PXRD pattern. Radiation: λ = 1.5418 Å (Cu Kα). Structure: DFT lattice parameters and positions (PBE).

Atomic structure:
```
data_K2ReH6
_space_group_name_H-M_alt 'F m -3 m'
_space_group_IT_number 225
_space_group_name_Hall '-F 4 2 3'
_cell_length_a 8.2795
_cell_length_b 8.2795
_cell_length_c 8.2795
_cell_angle_alpha 90.00
_cell_angle_beta 90.00
_cell_angle_gamma 90.00
loop_
_atom_site_label
_atom_site_fract_x
_atom_site_fract_y
_atom_site_fract_z
K1 0.2500 0.2500 0.2500
Re1 0.0000 0.0000 0.0000
H1 0.0000 0.0000 0.2151
```

Top 8 peaks for 2θ = 10–80°, sorted by position:
18.56 deg, d 4.780, rel. 100
30.54 deg, d 2.927, rel. 90
35.98 deg, d 2.496, rel. 56
43.73 deg, d 2.070, rel. 17
47.89 deg, d 1.899, rel. 25
54.28 deg, d 1.690, rel. 34
57.87 deg, d 1.593, rel. 20
66.85 deg, d 1.399, rel. 19


4.
This entry pairs a crystal structure of TbSm3Y4S8 with its computed PXRD pattern. Radiation: λ = 1.5418 Å (Cu Kα). Structure: DFT lattice parameters and positions (PBE).

Atomic structure:
```
data_TbSm3Y4S8
_space_group_name_H-M_alt 'R -3 m'
_space_group_IT_number 166
_space_group_name_Hall '-R 3 2"'
_cell_length_a 7.8977
_cell_length_b 7.8977
_cell_length_c 19.4333
_cell_angle_alpha 90.00
_cell_angle_beta 90.00
_cell_angle_gamma 120.00
loop_
_atom_site_label
_atom_site_fract_x
_atom_site_fract_y
_atom_site_fract_z
Tb1 0.0000 0.0000 0.0000
Sm1 0.0000 0.5000 0.0000
Y1 0.0000 0.0000 0.5000
Y2 0.0000 0.5000 0.5000
S1 0.0000 0.0000 0.2469
S2 0.0037 0.5018 0.7522
```

Top 8 peaks for 2θ = 10–80°, sorted by position:
27.54 deg, d 3.239, rel. 16
27.65 deg, d 3.226, rel. 46
32.00 deg, d 2.796, rel. 100
45.82 deg, d 1.980, rel. 36
45.97 deg, d 1.974, rel. 35
54.45 deg, d 1.685, rel. 23
57.11 deg, d 1.613, rel. 18
76.00 deg, d 1.252, rel. 15


5.
This entry pairs a crystal structure of K3GaSe3 with its computed PXRD pattern. Radiation: λ = 1.5418 Å (Cu Kα). Structure: DFT lattice parameters and positions (PBE).

Atomic structure:
```
data_K3GaSe3
_space_group_name_H-M_alt 'P 1 21/c 1'
_space_group_IT_number 14
_space_group_name_Hall '-P 2ybc'
_cell_length_a 8.1831
_cell_length_b 13.4497
_cell_length_c 10.4756
_cell_angle_alpha 90.00
_cell_angle_beta 127.36
_cell_angle_gamma 90.00
loop_
_atom_site_label
_atom_site_fract_x
_atom_site_fract_y
_atom_site_fract_z
K1 0.1365 0.1143 0.4744
K2 0.1803 0.1057 0.9007
K3 0.3432 0.6897 0.5669
Ga1 0.4437 0.0667 0.3384
Se1 0.1784 0.1927 0.1999
Se2 0.3237 0.5976 0.8626
Se3 0.3634 0.5521 0.2653
```

Top 8 peaks for 2θ = 10–80°, sorted by position:
13.61 deg, d 6.504, rel. 76
18.98 deg, d 4.675, rel. 73
26.17 deg, d 3.405, rel. 76
28.23 deg, d 3.161, rel. 91
28.81 deg, d 3.099, rel. 68
34.28 deg, d 2.616, rel. 71
34.56 deg, d 2.596, rel. 88
35.03 deg, d 2.562, rel. 100


6.
This entry pairs a crystal structure of Tm5PaRu6 with its computed PXRD pattern. Radiation: λ = 1.5418 Å (Cu Kα). Structure: DFT lattice parameters and positions (PBE).

Atomic structure:
```
data_Tm5PaRu6
_space_group_name_H-M_alt 'C m m m'
_space_group_IT_number 65
_space_group_name_Hall '-C 2 2'
_cell_length_a 4.7988
_cell_length_b 14.1580
_cell_length_c 6.7512
_cell_angle_alpha 90.00
_cell_angle_beta 90.00
_cell_angle_gamma 90.00
loop_
_atom_site_label
_atom_site_fract_x
_atom_site_fract_y
_atom_site_fract_z
Tm1 0.0000 0.0000 0.0000
Tm2 0.0000 0.3291 0.5000
Tm3 0.0000 0.3325 0.0000
Pa1 0.0000 0.0000 0.5000
Ru1 0.0000 0.1589 0.2600
Ru2 0.0000 0.5000 0.2621
```

Top 8 peaks for 2θ = 10–80°, sorted by position:
26.46 deg, d 3.368, rel. 13
37.48 deg, d 2.399, rel. 26
37.75 deg, d 2.383, rel. 100
38.14 deg, d 2.360, rel. 24
54.36 deg, d 1.688, rel. 9
54.54 deg, d 1.682, rel. 17
67.83 deg, d 1.382, rel. 27
68.67 deg, d 1.367, rel. 16